[1]
# Ba2HgAsP
Simulated powder X-ray diffraction pattern, Cu Kα X-rays. Input: a GGA-PBE-relaxed structure.
No peak broadening, texture or thermal motion is included.

Atomic structure:
a = 4.5700 Å, b = 17.3022 Å, c = 8.2104 Å
α = 90.00°, β = 90.00°, γ = 90.00°
Space group Cmc2_1 (No. 36)
Inequivalent atoms, fractional coordinates:
Ba1 0.0000 0.0388 0.0000
Ba2 0.0000 0.2076 0.6434
Hg1 0.0000 0.4014 0.8437
As1 0.0000 0.4356 0.1985
P1 0.0000 0.1720 0.2647

Most intense lines, 10° ≤ 2θ ≤ 90°, sorted by position:
2θ = 14.88°, I 44
2θ = 22.86°, I 39
2θ = 27.16°, I 100
2θ = 29.71°, I 73
2θ = 32.45°, I 76
2θ = 33.19°, I 36
2θ = 34.35°, I 60
2θ = 39.42°, I 46

[2]
# Sr2Cd3InAu2
Simulated powder X-ray diffraction pattern, Cu Kα X-rays. Input: a GGA-PBE-relaxed structure.
No peak broadening, texture or thermal motion is included.

Atomic structure:
a = 10.7891 Å, b = 4.6181 Å, c = 8.2032 Å
α = 90.00°, β = 90.03°, γ = 90.00°
Space group Cm (No. 8)
Inequivalent atoms, fractional coordinates:
Sr1 0.0000 0.0000 0.0000
Sr2 0.1354 0.0000 0.4929
Cd1 0.2049 0.5000 0.8057
Cd2 0.2074 0.5000 0.1932
Cd3 0.4284 0.0000 0.3010
In1 0.4260 0.0000 0.6926
Au1 0.2909 0.0000 0.9971
Au2 0.3463 0.5000 0.5006

Most intense lines, 10° ≤ 2θ ≤ 90°, sorted by position:
2θ = 16.43°, I 45
2θ = 30.30°, I 78
2θ = 33.42°, I 100
2θ = 35.02°, I 30
2θ = 38.58°, I 40
2θ = 39.01°, I 50
2θ = 39.19°, I 73
2θ = 40.01°, I 33

[3]
# Te2PdPb2F2
Simulated powder X-ray diffraction pattern, Cu Kα X-rays. Input: a GGA-PBE-relaxed structure.
No peak broadening, texture or thermal motion is included.

Atomic structure:
a = 4.1351 Å, b = 4.1351 Å, c = 9.5648 Å
α = 90.00°, β = 90.00°, γ = 90.00°
Space group P-4m2 (No. 115)
Inequivalent atoms, fractional coordinates:
Te1 0.0000 0.5000 0.1680
Pd1 0.0000 0.0000 0.0000
Pb1 0.0000 0.5000 0.6596
F1 0.0000 0.0000 0.5000
F2 0.5000 0.5000 0.5000

Most intense lines, 10° ≤ 2θ ≤ 90°, sorted by position:
2θ = 28.54°, I 100
2θ = 30.57°, I 31
2θ = 36.00°, I 31
2θ = 43.76°, I 56
2θ = 49.23°, I 18
2θ = 53.10°, I 36
2θ = 63.62°, I 27
2θ = 75.30°, I 18

What did the first record say?
# Ba2HgAsP
Simulated powder X-ray diffraction pattern, Cu Kα X-rays. Input: a GGA-PBE-relaxed structure.
No peak broadening, texture or thermal motion is included.

Atomic structure:
a = 4.5700 Å, b = 17.3022 Å, c = 8.2104 Å
α = 90.00°, β = 90.00°, γ = 90.00°
Space group Cmc2_1 (No. 36)
Inequivalent atoms, fractional coordinates:
Ba1 0.0000 0.0388 0.0000
Ba2 0.0000 0.2076 0.6434
Hg1 0.0000 0.4014 0.8437
As1 0.0000 0.4356 0.1985
P1 0.0000 0.1720 0.2647

Most intense lines, 10° ≤ 2θ ≤ 90°, sorted by position:
2θ = 14.88°, I 44
2θ = 22.86°, I 39
2θ = 27.16°, I 100
2θ = 29.71°, I 73
2θ = 32.45°, I 76
2θ = 33.19°, I 36
2θ = 34.35°, I 60
2θ = 39.42°, I 46